(1)
The following is a theoretical PXRD pattern of Zn2SiSnP4. It was derived from a crystal structure in OQMD, relaxed with GGA-PBE, using Cu Kα, 1.54184 Å.

Main lines, by intensity (2θ = 10–80°):
d 3.191, 28.0°, intensity 100; d 1.951, 46.5°, intensity 40; d 1.670, 55.0°, intensity 29; d 1.960, 46.3°, intensity 20; d 1.659, 55.4°, intensity 14; d 1.267, 75.0°, intensity 11; d 2.772, 32.3°, intensity 10; d 4.950, 17.9°, intensity 8; d 3.921, 22.7°, intensity 7; d 1.386, 67.6°, intensity 6

Structural model:
Lattice parameters (Å, degrees): 5.5449 5.5449 10.9878 90.00 90.00 90.00
Space group I-4 (No. 82)
One atom of each set of equivalent atoms:
1 Zn 0.0000 0.0000 0.0000 (multiplicity 2)
2 Zn 0.0000 0.5000 0.2500 (multiplicity 2)
3 Si 0.0000 0.5000 0.7500 (multiplicity 2)
4 Sn 0.0000 0.0000 0.5000 (multiplicity 2)
5 P 0.2279 0.7515 0.8665 (multiplicity 8)

=====

(2)
The following is a theoretical PXRD pattern of Cu2Ag3. It was derived from a crystal structure in OQMD, relaxed with GGA-PBE, using Cu Kα, 1.54184 Å.

Main lines, by intensity (2θ = 10–80°):
d 2.273, 39.7°, intensity 100; d 2.295, 39.3°, intensity 100; d 2.034, 44.6°, intensity 69; d 1.380, 67.9°, intensity 36; d 1.879, 48.4°, intensity 27; d 1.212, 79.0°, intensity 23; d 1.222, 78.2°, intensity 22; d 1.427, 65.4°, intensity 10; d 1.449, 64.3°, intensity 10; d 3.636, 24.5°, intensity 7

Structural model:
Lattice parameters (Å, degrees): 2.8542 3.7580 14.4927 90.00 90.00 90.00
Space group Pmmm (No. 47)
One atom of each set of equivalent atoms:
1 Cu 0.0000 0.0000 0.0000 (multiplicity 1)
2 Cu 0.0000 0.0000 0.1925 (multiplicity 2)
3 Cu 0.5000 0.5000 0.5000 (multiplicity 1)
4 Ag 0.0000 0.0000 0.4024 (multiplicity 2)
5 Ag 0.5000 0.5000 0.0969 (multiplicity 2)
6 Ag 0.5000 0.5000 0.2912 (multiplicity 2)

=====

(3)
The following is a theoretical PXRD pattern of YFe5P3. It was derived from a crystal structure in OQMD, relaxed with GGA-PBE, using Cu Kα, 1.54184 Å.

Main lines, by intensity (2θ = 10–80°):
d 2.301, 39.1°, intensity 100; d 2.295, 39.2°, intensity 55; d 1.824, 50.0°, intensity 42; d 2.239, 40.3°, intensity 23; d 1.708, 53.7°, intensity 20; d 1.850, 49.2°, intensity 14; d 2.070, 43.7°, intensity 14; d 1.247, 76.4°, intensity 13; d 2.374, 37.9°, intensity 13; d 2.514, 35.7°, intensity 11

Structural model:
Lattice parameters (Å, degrees): 11.8133 3.6478 10.2899 90.00 90.00 90.00
Space group Pnma (No. 62)
One atom of each set of equivalent atoms:
1 Y 0.2044 0.2500 0.0810 (multiplicity 4)
2 Fe 0.0092 0.7500 0.0951 (multiplicity 4)
3 Fe 0.0110 0.7500 0.7079 (multiplicity 4)
4 Fe 0.0673 0.7500 0.4637 (multiplicity 4)
5 Fe 0.1765 0.2500 0.7809 (multiplicity 4)
6 Fe 0.2014 0.2500 0.3756 (multiplicity 4)
7 P 0.1034 0.7500 0.8990 (multiplicity 4)
8 P 0.1124 0.2500 0.5780 (multiplicity 4)
9 P 0.1279 0.7500 0.2665 (multiplicity 4)